Record 1
Diffraction record for K3LuSi2O7. The powder X-ray diffraction pattern is calculated, not measured: it uses a crystal structure in Alexandria, relaxed with PBE and copper Kα.

Structure:
a = 5.7651 Å, b = 5.7651 Å, c = 14.0648 Å
α = 90.00°, β = 90.00°, γ = 120.00°
Element x y z (fractional)
K  0.0000  0.0000  0.2500
K  0.0000  0.0000  0.7500
K  0.3333  0.6667  0.0905
K  0.3333  0.6667  0.4095
K  0.6667  0.3333  0.5905
K  0.6667  0.3333  0.9095
Lu  0.0000  0.0000  0.0000
Lu  0.0000  0.0000  0.5000
Si  0.3333  0.6667  0.6313
Si  0.3333  0.6667  0.8687
Si  0.6667  0.3333  0.1313
Si  0.6667  0.3333  0.3687
O  0.1776  0.3551  0.5946
O  0.1776  0.3551  0.9054
O  0.1776  0.8224  0.5946
O  0.1776  0.8224  0.9054
O  0.3333  0.6667  0.7500
O  0.3551  0.1776  0.0946
O  0.3551  0.1776  0.4054
O  0.6449  0.8224  0.5946
O  0.6449  0.8224  0.9054
O  0.6667  0.3333  0.2500
O  0.8224  0.1776  0.0946
O  0.8224  0.1776  0.4054
O  0.8224  0.6449  0.0946
O  0.8224  0.6449  0.4054

Most intense lines, 2θ from 10° to 80°, sorted by position:
2theta  d (Å)  I (rel.)
12.59  7.032  38.6
17.76  4.993  32.1
21.83  4.071  31.9
31.07  2.878  100.0
33.60  2.667  11.7
40.46  2.229  8.3
42.61  2.122  9.5
44.51  2.036  25.7
50.05  1.823  8.5
55.23  1.663  26.7
64.67  1.441  9.0
73.50  1.288  8.7


Record 2
Diffraction record for K6Mg. The powder X-ray diffraction pattern is calculated, not measured: it uses a crystal structure in Alexandria, relaxed with PBE and copper Kα.

Structure:
a = 11.5330 Å, b = 11.5330 Å, c = 11.5330 Å
α = 90.00°, β = 90.00°, γ = 90.00°
Element x y z (fractional)
K  0.0000  0.2500  0.5000
K  0.0000  0.5000  0.2500
K  0.0000  0.5000  0.7500
K  0.0000  0.7500  0.5000
K  0.2500  0.0000  0.5000
K  0.2500  0.5000  0.0000
K  0.5000  0.0000  0.2500
K  0.5000  0.0000  0.7500
K  0.5000  0.2500  0.0000
K  0.5000  0.7500  0.0000
K  0.7500  0.0000  0.5000
K  0.7500  0.5000  0.0000
Mg  0.0000  0.0000  0.0000
Mg  0.5000  0.5000  0.5000

Most intense lines, 2θ from 10° to 80°, sorted by position:
2theta  d (Å)  I (rel.)
10.85  8.155  48.8
15.37  5.766  40.8
18.85  4.708  100.0
26.78  3.329  57.0
28.97  3.082  65.7
31.02  2.883  43.1
34.79  2.579  19.4
36.54  2.459  16.7
42.95  2.106  20.3
44.44  2.039  28.5
48.67  1.871  20.3
52.64  1.739  20.8


Record 3
Diffraction record for KMg2. The powder X-ray diffraction pattern is calculated, not measured: it uses a crystal structure in Alexandria, relaxed with PBE and copper Kα.

Structure:
a = 3.2119 Å, b = 10.1170 Å, c = 10.1170 Å
α = 120.15°, β = 90.00°, γ = 90.00°
Element x y z (fractional)
K  0.0000  0.0000  0.0000
K  0.5000  0.3333  0.6667
K  0.5000  0.6667  0.3333
Mg  0.0000  0.9997  0.3390
Mg  0.0000  0.3390  0.9997
Mg  0.0000  0.6599  0.6599
Mg  0.5000  0.0005  0.6751
Mg  0.5000  0.3257  0.3257
Mg  0.5000  0.6751  0.0005

Most intense lines, 2θ from 10° to 80°, sorted by position:
2theta  d (Å)  I (rel.)
17.55  5.055  11.8
29.63  3.015  17.5
30.63  2.918  100.0
33.04  2.711  41.4
34.64  2.590  14.7
39.08  2.305  17.7
45.68  1.986  16.0
46.91  1.937  7.1
54.41  1.686  11.5
55.98  1.643  11.1
63.84  1.458  6.7
66.45  1.407  18.1


Record 4
Diffraction record for K3Mg. The powder X-ray diffraction pattern is calculated, not measured: it uses a crystal structure in Alexandria, relaxed with PBE and copper Kα.

Structure:
a = 15.2074 Å, b = 4.7916 Å, c = 6.8342 Å
α = 90.00°, β = 116.09°, γ = 90.00°
Element x y z (fractional)
K  0.0000  0.0000  0.0000
K  0.2184  0.0000  0.7180
K  0.2816  0.5000  0.2820
K  0.5000  0.5000  0.0000
K  0.7184  0.5000  0.7180
K  0.7816  0.0000  0.2820
Mg  0.0000  0.5000  0.5000
Mg  0.5000  0.0000  0.5000

Most intense lines, 2θ from 10° to 80°, sorted by position:
2theta  d (Å)  I (rel.)
19.63  4.521  5.3
23.36  3.808  6.6
23.60  3.770  6.3
26.11  3.413  100.0
26.27  3.393  51.1
37.02  2.428  7.2
37.43  2.402  7.1
37.54  2.396  10.0
37.91  2.373  6.0
45.96  1.975  14.1
46.26  1.963  31.5
61.05  1.518  5.6


Record 5
Diffraction record for K3Mg. The powder X-ray diffraction pattern is calculated, not measured: it uses a crystal structure in Alexandria, relaxed with PBE and copper Kα.

Structure:
a = 6.8197 Å, b = 8.5326 Å, c = 7.4047 Å
α = 90.00°, β = 90.00°, γ = 90.00°
Element x y z (fractional)
K  0.2500  0.0021  0.1716
K  0.2500  0.4979  0.1716
K  0.2500  0.7500  0.6324
K  0.7500  0.2500  0.3676
K  0.7500  0.5021  0.8284
K  0.7500  0.9979  0.8284
Mg  0.2500  0.2500  0.6821
Mg  0.7500  0.7500  0.3179

Most intense lines, 2θ from 10° to 80°, sorted by position:
2theta  d (Å)  I (rel.)
24.06  3.698  23.8
26.13  3.410  26.1
27.43  3.251  100.0
35.82  2.507  15.6
42.33  2.135  17.4
46.91  1.937  19.9
50.43  1.810  19.9
51.19  1.785  13.8
65.02  1.434  6.2
68.48  1.370  5.7
70.71  1.332  6.4
74.09  1.280  4.4


Record 6
Diffraction record for KMg2. The powder X-ray diffraction pattern is calculated, not measured: it uses a crystal structure in Alexandria, relaxed with PBE and copper Kα.

Structure:
a = 3.5016 Å, b = 4.8535 Å, c = 13.0919 Å
α = 90.00°, β = 96.75°, γ = 90.00°
Element x y z (fractional)
K  0.1783  0.2500  0.3520
K  0.8217  0.7500  0.6480
Mg  0.0281  0.2500  0.0717
Mg  0.4388  0.2500  0.8618
Mg  0.5612  0.7500  0.1382
Mg  0.9719  0.7500  0.9283

Most intense lines, 2θ from 10° to 80°, sorted by position:
2theta  d (Å)  I (rel.)
19.52  4.547  38.2
22.87  3.889  84.8
27.44  3.250  54.9
27.61  3.231  27.0
30.55  2.926  30.7
31.02  2.883  28.4
31.70  2.822  100.0
33.17  2.701  48.5
37.04  2.427  48.2
39.70  2.270  45.1
40.22  2.242  42.8
46.70  1.945  27.0